For TbGdPd2Pb, a structure optimized by DFT (GGA-PBE) gives the computed PXRD pattern in this record (Cu Kα X-rays).
No peak broadening, texture or thermal motion is included.

Peak list (10 most intense, 2θ = 15–90°, sorted by position)
2θ 27.46, 3.248 Å, intensity 24.0, (0 1 3); 2θ 32.89, 2.723 Å, intensity 100.0, (1 1 1); 2θ 34.37, 2.609 Å, intensity 53.5, (1 0 4); 2θ 36.61, 2.454 Å, intensity 49.3, (0 1 5); 2θ 37.12, 2.422 Å, intensity 17.9, (1 1 3); 2θ 42.28, 2.138 Å, intensity 28.4, (0 2 0); 2θ 55.58, 1.654 Å, intensity 27.4, (1 2 4); 2θ 63.71, 1.461 Å, intensity 19.6, (2 1 5); 2θ 67.64, 1.385 Å, intensity 22.9, (2 2 0); 2θ 83.08, 1.163 Å, intensity 17.5, (1 2 10)

Structural model:
Lattice parameters (Å, degrees): 3.635 4.275 14.987 90.00 90.00 90.00
Space group Amm2 (No. 38)
Asymmetric unit:
Tb: 0.000 0.000 0.000 [2 per cell]
Gd: 0.000 0.000 0.731 [2 per cell]
Pd: 0.500 0.000 0.172 [2 per cell]
Pd: 0.500 0.000 0.557 [2 per cell]
Pb: 0.500 0.000 0.365 [2 per cell]


For SrNpS2F, a structure optimized by DFT (GGA-PBE) gives the computed PXRD pattern in this record (Cu Kα X-rays).
No peak broadening, texture or thermal motion is included.

Peak list (10 most intense, 2θ = 15–90°, sorted by position)
2θ 23.47, 3.791 Å, intensity 20.6, (1 0 1); 2θ 25.89, 3.441 Å, intensity 29.4, (0 0 4); 2θ 26.04, 3.421 Å, intensity 100.0, (1 0 2); 2θ 32.10, 2.788 Å, intensity 57.3, (1 1 0); 2θ 32.77, 2.733 Å, intensity 17.7, (1 1 1); 2θ 41.69, 2.166 Å, intensity 43.7, (1 1 4); 2θ 45.76, 1.983 Å, intensity 26.4, (1 0 6); 2θ 46.04, 1.972 Å, intensity 25.5, (2 0 0); 2θ 53.62, 1.709 Å, intensity 46.4, (2 0 4); 2θ 66.93, 1.398 Å, intensity 17.2, (2 1 6)

Structural model:
Lattice parameters (Å, degrees): 3.943 3.943 13.765 90.00 90.00 90.00
Space group P4/nmm (No. 129, origin choice 2)
Asymmetric unit:
Sr: 0.250 0.250 0.108 [2 per cell]
Np: 0.250 0.250 0.610 [2 per cell]
S: 0.250 0.250 0.407 [2 per cell]
S: 0.250 0.250 0.794 [2 per cell]
F: 0.250 0.750 0.000 [2 per cell]


For Cs3TmBr6, a structure optimized by DFT (GGA-PBE) gives the computed PXRD pattern in this record (Cu Kα X-rays).
No peak broadening, texture or thermal motion is included.

Peak list (10 most intense, 2θ = 15–90°, sorted by position)
2θ 20.56, 4.319 Å, intensity 76.2, (2 2 0); 2θ 25.25, 3.527 Å, intensity 35.3, (2 2 2); 2θ 29.24, 3.054 Å, intensity 100.0, (4 0 0); 2θ 36.01, 2.494 Å, intensity 31.2, (4 2 2); 2θ 41.83, 2.160 Å, intensity 69.8, (4 4 0); 2θ 47.04, 1.932 Å, intensity 22.6, (6 2 0); 2θ 51.85, 1.763 Å, intensity 23.1, (4 4 4); 2θ 56.35, 1.633 Å, intensity 23.1, (6 4 2); 2θ 68.72, 1.366 Å, intensity 26.8, (8 4 0); 2θ 76.38, 1.247 Å, intensity 18.6, (8 4 4)

Structural model:
Lattice parameters (Å, degrees): 12.217 12.217 12.217 90.00 90.00 90.00
Space group Fm-3m (No. 225)
Asymmetric unit:
Cs: 0.000 0.000 0.000 [4 per cell]
Cs: 0.250 0.250 0.250 [8 per cell]
Tm: 0.000 0.000 0.500 [4 per cell]
Br: 0.000 0.000 0.275 [24 per cell]


For Ho4InPbC2, a structure optimized by DFT (GGA-PBE) gives the computed PXRD pattern in this record (Cu Kα X-rays).
No peak broadening, texture or thermal motion is included.

Peak list (10 most intense, 2θ = 15–90°, sorted by position)
2θ 28.63, 3.118 Å, intensity 18.8, (1 0 0); 2θ 33.22, 2.697 Å, intensity 100.0, (0 0 6); 2θ 44.47, 2.037 Å, intensity 13.6, (1 0 6); 2θ 50.72, 1.800 Å, intensity 17.4, (1 1 0); 2θ 59.28, 1.559 Å, intensity 2.5, (2 0 0); 2θ 59.43, 1.555 Å, intensity 15.7, (1 0 9); 2θ 62.00, 1.497 Å, intensity 31.6, (1 1 6); 2θ 69.71, 1.349 Å, intensity 3.5, (2 0 6); 2θ 81.85, 1.177 Å, intensity 6.4, (2 0 9); 2θ 84.09, 1.151 Å, intensity 12.0, (2 1 3)

Structural model:
Lattice parameters (Å, degrees): 3.6000 3.6000 16.1496 90.00 90.00 120.00
Space group P-6m2 (No. 187)
Asymmetric unit:
Ho: 0.0000 0.0000 0.1667 [2 per cell]
Ho: 0.6667 0.3333 0.3321 [2 per cell]
In: 0.6667 0.3333 0.0000 [1 per cell]
Pb: 0.0000 0.0000 0.5000 [1 per cell]
C: 0.3333 0.6667 0.2514 [2 per cell]


For CsSbAsIr2, a structure optimized by DFT (GGA-PBE) gives the computed PXRD pattern in this record (Cu Kα X-rays).
No peak broadening, texture or thermal motion is included.

Peak list (10 most intense, 2θ = 15–90°, sorted by position)
2θ 23.05, 3.859 Å, intensity 37.4, (0 0 4); 2θ 27.68, 3.223 Å, intensity 84.8, (1 0 3); 2θ 32.76, 2.734 Å, intensity 100.0, (1 1 2); 2θ 38.64, 2.330 Å, intensity 58.7, (1 1 4); 2θ 43.80, 2.067 Å, intensity 58.3, (2 0 0); 2θ 45.42, 1.997 Å, intensity 21.7, (2 0 2); 2θ 47.06, 1.931 Å, intensity 92.7, (1 1 6); 2θ 52.60, 1.740 Å, intensity 27.8, (2 1 3); 2θ 73.47, 1.289 Å, intensity 20.0, (3 1 2); 2θ 82.83, 1.165 Å, intensity 41.3, (3 1 6)

Structural model:
Lattice parameters (Å, degrees): 4.134 4.134 15.435 90.00 90.00 90.00
Space group I4mm (No. 107)
Asymmetric unit:
Cs: 0.000 0.000 0.000 [2 per cell]
Sb: 0.000 0.000 0.664 [2 per cell]
As: 0.000 0.000 0.356 [2 per cell]
Ir: 0.000 0.500 0.270 [4 per cell]


For Sm3S2NO, a structure optimized by DFT (GGA-PBE) gives the computed PXRD pattern in this record (Cu Kα X-rays).
No peak broadening, texture or thermal motion is included.

Peak list (10 most intense, 2θ = 15–90°, sorted by position)
2θ 24.85, 3.583 Å, intensity 18.5, (1 1 -1); 2θ 26.42, 3.373 Å, intensity 36.9, (4 0 1); 2θ 27.58, 3.235 Å, intensity 47.6, (4 0 -2); 2θ 29.37, 3.041 Å, intensity 36.7, (3 1 -1); 2θ 30.53, 2.928 Å, intensity 100.0, (1 1 2); 2θ 37.34, 2.408 Å, intensity 33.8, (5 1 0); 2θ 45.54, 1.992 Å, intensity 34.8, (3 1 -4); 2θ 46.23, 1.964 Å, intensity 19.9, (0 2 0); 2θ 47.73, 1.906 Å, intensity 15.3, (7 1 0); 2θ 50.04, 1.823 Å, intensity 17.1, (5 1 3)

Structural model:
Lattice parameters (Å, degrees): 15.431 3.928 9.718 90.00 98.72 90.00
Space group C2/m (No. 12)
Asymmetric unit:
Sm: 0.049 0.000 0.267 [4 per cell]
Sm: 0.113 0.500 0.948 [4 per cell]
Sm: 0.200 0.000 0.671 [4 per cell]
S: 0.132 0.500 0.474 [4 per cell]
S: 0.213 0.000 0.154 [4 per cell]
N: 0.098 0.000 0.808 [4 per cell]
O: 0.038 0.500 0.141 [4 per cell]


For NdGdCu2, a structure optimized by DFT (GGA-PBE) gives the computed PXRD pattern in this record (Cu Kα X-rays).
No peak broadening, texture or thermal motion is included.

Peak list (10 most intense, 2θ = 15–90°, sorted by position)
2θ 25.98, 3.429 Å, intensity 35.5, (1 0 2); 2θ 31.95, 2.801 Å, intensity 100.0, (1 1 1); 2θ 34.03, 2.634 Å, intensity 22.8, (0 0 4); 2θ 34.80, 2.578 Å, intensity 42.5, (0 1 3); 2θ 39.61, 2.276 Å, intensity 20.4, (1 0 4); 2θ 39.92, 2.258 Å, intensity 31.1, (2 0 0); 2θ 40.28, 2.239 Å, intensity 48.7, (1 1 3); 2θ 47.93, 1.898 Å, intensity 18.3, (0 2 0); 2θ 53.98, 1.699 Å, intensity 24.1, (2 1 3); 2θ 80.78, 1.190 Å, intensity 18.7, (2 1 7)

Structural model:
Lattice parameters (Å, degrees): 4.517 3.796 10.537 90.00 90.00 90.00
Space group Amm2 (No. 38)
Asymmetric unit:
Nd: 0.000 0.000 0.000 [2 per cell]
Gd: 0.500 0.000 0.720 [2 per cell]
Cu: 0.000 0.000 0.288 [2 per cell]
Cu: 0.500 0.000 0.426 [2 per cell]


For SmSiHO4, a structure optimized by DFT (GGA-PBE) gives the computed PXRD pattern in this record (Cu Kα X-rays).
No peak broadening, texture or thermal motion is included.

Peak list (10 most intense, 2θ = 15–90°, sorted by position)
2θ 17.40, 5.096 Å, intensity 27.6, (0 2 1); 2θ 20.85, 4.260 Å, intensity 88.3, (2 1 1); 2θ 26.48, 3.366 Å, intensity 24.0, (4 -3 1); 2θ 28.85, 3.095 Å, intensity 100.0, (3 -2 2); 2θ 30.46, 2.934 Å, intensity 29.0, (4 1 0); 2θ 31.17, 2.869 Å, intensity 72.0, (5 -2 1); 2θ 37.14, 2.421 Å, intensity 45.0, (2 3 2); 2θ 45.75, 1.983 Å, intensity 30.8, (1 6 1); 2θ 46.64, 1.947 Å, intensity 35.7, (4 1 3); 2θ 50.28, 1.815 Å, intensity 30.1, (6 2 1)

Structural model:
Lattice parameters (Å, degrees): 15.5270 15.5270 7.8106 90.00 90.00 120.00
Space group R-3 (No. 148, hexagonal axes)
Asymmetric unit:
Sm: 0.0187 0.7762 0.3425 [18 per cell]
Si: 0.0698 0.4897 0.7282 [18 per cell]
H: 0.0220 0.8751 0.8125 [18 per cell]
O: 0.0131 0.3702 0.7576 [18 per cell]
O: 0.0130 0.4836 0.1890 [18 per cell]
O: 0.0505 0.1736 0.2141 [18 per cell]
O: 0.0793 0.2187 0.8737 [18 per cell]


For SbAu3Se2S2, a structure optimized by DFT (GGA-PBE) gives the computed PXRD pattern in this record (Cu Kα X-rays).
No peak broadening, texture or thermal motion is included.

Peak list (10 most intense, 2θ = 15–90°, sorted by position)
2θ 25.99, 3.429 Å, intensity 98.1, (1 1 1); 2θ 26.10, 3.415 Å, intensity 100.0, (3 1 -1); 2θ 30.06, 2.973 Å, intensity 13.9, (2 0 -2); 2θ 30.21, 2.959 Å, intensity 28.6, (4 0 0); 2θ 43.08, 2.100 Å, intensity 59.3, (2 0 2); 2θ 43.26, 2.091 Å, intensity 59.9, (4 2 0); 2θ 50.90, 1.794 Å, intensity 15.1, (1 1 -3); 2θ 51.12, 1.787 Å, intensity 60.7, (5 1 1); 2θ 51.31, 1.780 Å, intensity 15.5, (7 1 -1); 2θ 79.10, 1.211 Å, intensity 13.0, (6 2 2)

Structural model:
Lattice parameters (Å, degrees): 13.200 5.924 5.946 90.00 116.41 90.00
Space group C2 (No. 5)
Asymmetric unit:
Sb: 0.000 0.000 0.000 [2 per cell]
Au: 0.000 0.462 0.500 [2 per cell]
Au: 0.250 0.485 0.228 [4 per cell]
Se: 0.128 0.733 0.382 [4 per cell]
S: 0.127 0.241 0.873 [4 per cell]


For Hf2Zn3Pd, a structure optimized by DFT (GGA-PBE) gives the computed PXRD pattern in this record (Cu Kα X-rays).
No peak broadening, texture or thermal motion is included.

Peak list (10 most intense, 2θ = 15–90°, sorted by position)
2θ 17.19, 5.157 Å, intensity 9.8, (0 0 2); 2θ 29.83, 2.995 Å, intensity 20.7, (1 0 1); 2θ 38.91, 2.315 Å, intensity 100.0, (1 0 3); 2θ 40.77, 2.213 Å, intensity 45.4, (1 1 0); 2θ 53.29, 1.719 Å, intensity 8.9, (0 0 6); 2θ 54.65, 1.679 Å, intensity 6.5, (1 1 4); 2θ 59.02, 1.565 Å, intensity 15.1, (2 0 0); 2θ 69.20, 1.358 Å, intensity 16.1, (1 1 6); 2θ 72.98, 1.296 Å, intensity 30.6, (2 1 3); 2θ 83.54, 1.157 Å, intensity 10.3, (2 0 6)

Structural model:
Lattice parameters (Å, degrees): 3.130 3.130 10.314 90.00 90.00 90.00
Space group P4mm (No. 99)
Asymmetric unit:
Hf: 0.000 0.000 0.000 [1 per cell]
Hf: 0.500 0.500 0.484 [1 per cell]
Zn: 0.000 0.000 0.670 [1 per cell]
Zn: 0.500 0.500 0.174 [1 per cell]
Zn: 0.500 0.500 0.814 [1 per cell]
Pd: 0.000 0.000 0.316 [1 per cell]


For Tm2Si2O7, a structure optimized by DFT (GGA-PBE) gives the computed PXRD pattern in this record (Cu Kα X-rays).
No peak broadening, texture or thermal motion is included.

Peak list (10 most intense, 2θ = 15–90°, sorted by position)
2θ 20.55, 4.323 Å, intensity 100.0, (-1 1 1); 2θ 27.32, 3.264 Å, intensity 30.8, (0 2 0); 2θ 28.96, 3.083 Å, intensity 32.2, (1 -1 3); 2θ 30.18, 2.961 Å, intensity 91.5, (0 0 4); 2θ 30.21, 2.958 Å, intensity 31.7, (0 2 -2); 2θ 30.99, 2.886 Å, intensity 44.6, (2 0 -2); 2θ 32.49, 2.756 Å, intensity 35.4, (2 1 1); 2θ 33.54, 2.672 Å, intensity 31.8, (1 2 -2); 2θ 43.39, 2.085 Å, intensity 27.9, (-1 1 5); 2θ 51.38, 1.778 Å, intensity 31.7, (2 1 5)

Structural model:
Lattice parameters (Å, degrees): 6.526 6.551 11.884 94.47 91.30 92.08
Space group P-1 (No. 2)
Asymmetric unit:
Tm: 0.048 0.329 0.114 [2 per cell]
Tm: 0.116 0.091 0.358 [2 per cell]
Tm: 0.324 0.827 0.111 [2 per cell]
Tm: 0.372 0.213 0.633 [2 per cell]
Si: 0.141 0.625 0.379 [2 per cell]
Si: 0.158 0.148 0.885 [2 per cell]
Si: 0.380 0.723 0.596 [2 per cell]
Si: 0.487 0.664 0.827 [2 per cell]
O: 0.000 0.335 0.918 [2 per cell]
O: 0.002 0.982 0.814 [2 per cell]
O: 0.042 0.226 0.576 [2 per cell]
O: 0.069 0.412 0.308 [2 per cell]
O: 0.226 0.904 0.625 [2 per cell]
O: 0.235 0.085 0.008 [2 per cell]
O: 0.286 0.569 0.488 [2 per cell]
O: 0.287 0.784 0.311 [2 per cell]
O: 0.297 0.706 0.910 [2 per cell]
O: 0.351 0.489 0.123 [2 per cell]
O: 0.354 0.212 0.814 [2 per cell]
O: 0.388 0.135 0.215 [2 per cell]
O: 0.400 0.559 0.695 [2 per cell]
O: 0.411 0.170 0.448 [2 per cell]


For BaAgSeO, a structure optimized by DFT (GGA-PBE) gives the computed PXRD pattern in this record (Cu Kα X-rays).
No peak broadening, texture or thermal motion is included.

Peak list (10 most intense, 2θ = 15–90°, sorted by position)
2θ 28.09, 3.177 Å, intensity 14.4, (0 4 1); 2θ 28.68, 3.113 Å, intensity 37.8, (0 0 2); 2θ 32.73, 2.736 Å, intensity 100.0, (1 3 1); 2θ 36.49, 2.462 Å, intensity 9.1, (0 6 0); 2θ 46.87, 1.939 Å, intensity 11.7, (2 0 0); 2θ 47.05, 1.931 Å, intensity 11.5, (0 6 2); 2θ 49.15, 1.854 Å, intensity 9.7, (1 7 0); 2θ 53.42, 1.715 Å, intensity 25.3, (1 3 3); 2θ 55.87, 1.646 Å, intensity 11.4, (2 0 2); 2θ 57.90, 1.593 Å, intensity 9.1, (1 7 2)

Structural model:
Lattice parameters (Å, degrees): 3.877 14.775 6.226 90.00 90.00 90.00
Space group Cmcm (No. 63)
Asymmetric unit:
Ba: 0.000 0.083 0.250 [4 per cell]
Ag: 0.000 0.386 0.250 [4 per cell]
Se: 0.000 0.225 0.750 [4 per cell]
O: 0.000 0.500 0.000 [4 per cell]


For Sr3TaZn5, a structure optimized by DFT (GGA-PBE) gives the computed PXRD pattern in this record (Cu Kα X-rays).
No peak broadening, texture or thermal motion is included.

Peak list (10 most intense, 2θ = 15–90°, sorted by position)
2θ 23.49, 3.787 Å, intensity 16.1, (1 1 0); 2θ 27.19, 3.279 Å, intensity 19.3, (2 0 0); 2θ 31.18, 2.868 Å, intensity 37.8, (1 1 1); 2θ 34.12, 2.628 Å, intensity 100.0, (2 0 1); 2θ 36.24, 2.479 Å, intensity 26.0, (2 1 0); 2θ 41.10, 2.196 Å, intensity 25.4, (0 0 2); 2θ 41.29, 2.186 Å, intensity 17.7, (3 0 0); 2θ 41.84, 2.159 Å, intensity 41.9, (2 1 1); 2θ 54.61, 1.681 Å, intensity 16.4, (3 1 1); 2θ 65.58, 1.424 Å, intensity 20.9, (3 2 1)

Structural model:
Lattice parameters (Å, degrees): 7.5736 7.5736 4.3927 90.00 90.00 120.00
Space group P-62m (No. 189)
Asymmetric unit:
Sr: 0.0000 0.5771 0.0000 [3 per cell]
Ta: 0.0000 0.0000 0.0000 [1 per cell]
Zn: 0.0000 0.2219 0.5000 [3 per cell]
Zn: 0.3333 0.6667 0.5000 [2 per cell]